Structure and simulated X-ray diffraction stick pattern of BaTlCoF6 (a structure optimized by DFT (PBE+U); Cu Kα (λ = 1.5418 Å)).

Largest 12 diffraction maxima, sorted by position, 10° ≤ 2θ ≤ 90°:
2theta	d [Å]	I/Imax
16.8	5.265	11
23.8	3.744	100
28.9	3.086	15
29.1	3.068	30
37.8	2.379	20
38.0	2.369	11
45.2	2.004	10
45.4	1.999	32
48.3	1.885	10
48.4	1.879	11
48.6	1.875	10
55.1	1.667	10

Unit cell a=6.1367 b=6.1367 c=5.2653 alpha=90.03 beta=90.03 gamma=119.63
Element x y z (fractional)
Ba (0.0000, 0.0000, 0.0000)
Tl (0.3374, 0.6626, 0.5000)
Co (0.6688, 0.3312, 0.5000)
F (0.3855, 0.3028, 0.2864)
F (0.4102, 0.0996, 0.7163)
F (0.6908, 0.0804, 0.2841)
F (0.6972, 0.6145, 0.7136)
F (0.9004, 0.5898, 0.2837)
F (0.9196, 0.3092, 0.7159)